[1]
# Ce4SbTe3
Simulated XRD peak list, a wavelength of 1.5418 Å. Input: a structure optimized by DFT (PBE).
No peak broadening, texture or thermal motion is included.

Largest 12 diffraction maxima, sorted by position, 2θ from 10° to 90°:
d_spacing  I_rel
3.181  100
2.259  13
2.250  51
2.238  13
1.843  14
1.831  14
1.591  13
1.428  6
1.423  23
1.417  6
1.302  13
1.294  9

Cell and atoms:
a b c (Å): 9.038 12.738 4.476
angles (deg): 90.00 90.00 90.00
Sites, in units of the cell vectors:
Ce 0.000 0.248 0.000
Ce 0.000 0.752 0.000
Ce 0.247 0.000 0.500
Ce 0.253 0.500 0.500
Ce 0.500 0.252 0.000
Ce 0.500 0.748 0.000
Ce 0.747 0.500 0.500
Ce 0.753 0.000 0.500
Sb 0.000 0.000 0.000
Sb 0.500 0.500 0.000
Te 0.000 0.500 0.000
Te 0.250 0.250 0.500
Te 0.250 0.750 0.500
Te 0.500 0.000 0.000
Te 0.750 0.250 0.500
Te 0.750 0.750 0.500

***

[2]
# Na2AlSiTe4
Simulated XRD peak list, a wavelength of 1.5418 Å. Input: a structure optimized by DFT (PBE).
No peak broadening, texture or thermal motion is included.

Largest 12 diffraction maxima, sorted by position, 2θ from 10° to 90°:
d_spacing  I_rel
8.765  13
4.382  13
4.080  40
3.728  33
3.541  100
2.701  13
2.677  19
2.468  24
2.305  15
2.046  18
2.026  19
1.933  13

Cell and atoms:
a b c (Å): 9.219 8.765 7.094
angles (deg): 90.00 90.00 90.00
Sites, in units of the cell vectors:
Na 0.246 0.161 0.000
Na 0.254 0.839 0.500
Na 0.746 0.839 0.500
Na 0.754 0.161 0.000
Al 0.000 0.356 0.525
Al 0.500 0.644 0.025
Si 0.000 0.664 0.019
Si 0.500 0.336 0.519
Te 0.000 0.387 0.897
Te 0.000 0.634 0.383
Te 0.239 0.198 0.443
Te 0.261 0.802 0.943
Te 0.500 0.366 0.883
Te 0.500 0.613 0.397
Te 0.739 0.802 0.943
Te 0.761 0.198 0.443

***

[3]
# ErCuPd5
Simulated XRD peak list, a wavelength of 1.5418 Å. Input: a structure optimized by DFT (PBE).
No peak broadening, texture or thermal motion is included.

Largest 12 diffraction maxima, sorted by position, 2θ from 10° to 90°:
d_spacing  I_rel
5.401  27
3.302  23
2.480  28
2.320  72
2.267  100
2.132  30
2.086  38
1.941  42
1.422  26
1.420  14
1.189  25
1.160  11

Cell and atoms:
a b c (Å): 7.367 7.367 8.343
angles (deg): 124.38 124.38 44.54
Sites, in units of the cell vectors:
Er 0.006 0.994 0.750
Er 0.994 0.006 0.250
Cu 0.000 0.500 0.500
Cu 0.500 0.000 0.000
Pd 0.127 0.616 0.884
Pd 0.129 0.616 0.361
Pd 0.384 0.871 0.139
Pd 0.384 0.873 0.616
Pd 0.492 0.508 0.750
Pd 0.508 0.492 0.250
Pd 0.616 0.127 0.384
Pd 0.616 0.129 0.861
Pd 0.871 0.384 0.639
Pd 0.873 0.384 0.116

***

> Number 2 is which compound?

Na2AlSiTe4